No. 1
Diffraction record for SnO2. The powder diffraction line list is simulated, not measured: it uses a cell relaxed with GGA-PBE and CuKα.
Lines closer than 0.1° are merged.

Atomic structure:
```
12
Lattice="-5.373 5.373 1.616 5.373 -5.373 1.616 5.373 5.373 -1.616" Properties=species:S:1:pos:R:3 pbc="T T T"
Sn 3.558 1.600 0.000
Sn 3.773 -1.815 1.616
Sn 1.600 7.189 0.000
Sn 1.815 3.773 1.616
O 7.104 0.462 0.000
O 7.038 3.164 0.000
O 0.462 3.643 0.000
O 3.164 3.708 0.000
O 2.210 1.665 1.616
O 4.912 1.731 1.616
O -1.665 2.210 1.616
O -1.731 4.912 1.616
```

Peak list (12 most intense, 2θ = 15–90°, sorted by position)
2theta  Rel. int.
16.5  52.3
26.2  47.3
33.4  100.0
35.4  20.6
37.4  8.8
44.7  32.3
51.0  20.3
54.0  40.1
62.3  27.2
63.8  8.4
77.5  10.6
89.4  8.2

***

No. 2
Diffraction record for Tm3AlNi8. The powder diffraction line list is simulated, not measured: it uses a cell relaxed with GGA-PBE and CuKα.
Lines closer than 0.1° are merged.

Atomic structure:
```
24
Lattice="5.012 0.000 0.000 -2.506 4.341 0.000 0.000 0.000 15.963" Properties=species:S:1:pos:R:3 pbc="T T T"
Tm 0.000 2.894 0.652
Tm 0.000 2.894 3.991
Tm 0.000 2.894 7.329
Tm 2.506 1.447 8.634
Tm 2.506 1.447 11.972
Tm 2.506 1.447 15.310
Al 0.000 2.894 11.972
Al 2.506 1.447 3.991
Ni 0.000 0.000 0.000
Ni 0.000 0.000 3.991
Ni 0.000 0.000 7.981
Ni 0.000 0.000 11.972
Ni 0.000 1.458 9.998
Ni 0.000 1.458 13.946
Ni -1.244 3.612 9.998
Ni -1.244 3.612 13.946
Ni 1.262 0.729 2.016
Ni 1.262 0.729 5.965
Ni 1.244 3.612 9.998
Ni 1.244 3.612 13.946
Ni 3.750 0.729 2.016
Ni 3.750 0.729 5.965
Ni 2.506 2.883 2.016
Ni 2.506 2.883 5.965
```

Peak list (12 most intense, 2θ = 15–90°, sorted by position)
2theta  Rel. int.
21.2  18.2
34.9  100.0
35.8  55.5
41.6  14.2
42.0  48.3
42.6  96.0
45.1  20.0
63.8  33.9
68.3  20.2
69.0  22.0
75.9  23.0
86.4  15.2

***

No. 3
Diffraction record for Ba3CaBi2O9. The powder diffraction line list is simulated, not measured: it uses a cell relaxed with GGA-PBE and CuKα.
Lines closer than 0.1° are merged.

Atomic structure:
```
30
Lattice="-3.084 4.354 9.268 3.084 -4.354 9.268 3.084 4.354 -9.268" Properties=species:S:1:pos:R:3 pbc="T T T"
Ba 3.084 2.153 -3.143
Ba 0.000 2.105 0.000
Ba 3.084 2.153 3.143
Ba 0.000 2.201 6.125
Ba 0.000 6.603 0.000
Ba 0.000 2.201 12.412
Ca 0.000 0.000 3.077
Ca 0.000 0.000 15.459
Bi 3.084 0.000 0.000
Bi 3.084 0.000 6.162
Bi 0.000 0.000 9.268
Bi 0.000 4.354 3.106
O 1.605 0.000 1.471
O 4.563 0.000 1.471
O 3.084 -2.076 6.284
O 4.597 0.000 4.713
O 1.571 0.000 4.713
O 3.084 2.223 0.000
O 1.560 4.354 -1.503
O 1.524 0.000 7.766
O 0.000 2.278 2.985
O 3.084 2.076 6.284
O 1.560 4.354 1.503
O 1.524 0.000 10.771
O 0.000 2.131 9.268
O -1.513 4.354 4.555
O 1.513 4.354 4.555
O 0.000 6.430 2.985
O -1.479 4.354 7.797
O 1.479 4.354 7.797
```

Peak list (12 most intense, 2θ = 15–90°, sorted by position)
2theta  Rel. int.
17.6  9.3
29.0  100.0
34.1  5.4
41.4  19.6
41.5  9.7
51.3  34.8
51.4  6.9
60.0  15.6
67.9  12.4
68.1  6.1
82.7  7.3
82.8  11.1